# 1
Structure and calculated powder XRD pattern of Rb4La3ZrO8 (a DFT-relaxed cell (GGA-PBE, Alexandria); a wavelength of 1.5418 Å).

Most intense lines, 2θ from 5° to 70°, by angle:
| 2θ (°) | I/Imax |
| --- | --- |
| 13.4 | 17 |
| 27.0 | 38 |
| 29.6 | 80 |
| 33.6 | 100 |
| 42.9 | 4 |
| 46.6 | 34 |
| 49.9 | 32 |
| 54.7 | 19 |
| 55.7 | 6 |
| 57.7 | 29 |
| 59.1 | 12 |
| 61.5 | 16 |

Unit cell a=7.8345 b=7.8345 c=7.8345 alpha=55.59 beta=55.59 gamma=55.59
Element x y z (fractional)
Rb (0.0000, 0.0000, 0.0000)
Rb (0.0000, 0.5000, 0.5000)
Rb (0.5000, 0.0000, 0.5000)
Rb (0.5000, 0.5000, 0.0000)
La (0.0000, 0.0000, 0.5000)
La (0.0000, 0.5000, 0.0000)
La (0.5000, 0.0000, 0.0000)
Zr (0.5000, 0.5000, 0.5000)
O (0.2265, 0.2265, 0.2265)
O (0.2577, 0.7073, 0.7073)
O (0.2927, 0.2927, 0.7423)
O (0.2927, 0.7423, 0.2927)
O (0.7073, 0.2577, 0.7073)
O (0.7073, 0.7073, 0.2577)
O (0.7423, 0.2927, 0.2927)
O (0.7735, 0.7735, 0.7735)

# 2
Structure and calculated powder XRD pattern of La3Re2O9 (a DFT-relaxed cell (GGA-PBE, Alexandria); a wavelength of 1.5418 Å).

Most intense lines, 2θ from 5° to 70°, by angle:
| 2θ (°) | I/Imax |
| --- | --- |
| 16.9 | 30 |
| 17.7 | 37 |
| 25.1 | 26 |
| 25.9 | 67 |
| 26.1 | 73 |
| 26.3 | 97 |
| 27.6 | 100 |
| 30.3 | 27 |
| 30.9 | 57 |
| 31.4 | 84 |
| 45.5 | 32 |
| 53.2 | 32 |

Unit cell a=5.6998 b=6.9406 c=11.2183 alpha=77.43 beta=75.65 gamma=69.29
Element x y z (fractional)
La (0.0072, 0.2183, 0.2687)
La (0.2272, 0.1601, 0.8834)
La (0.2843, 0.5945, 0.3792)
La (0.7157, 0.4055, 0.6208)
La (0.7728, 0.8399, 0.1166)
La (0.9928, 0.7817, 0.7313)
Re (0.3566, 0.1236, 0.5699)
Re (0.4869, 0.6114, 0.9087)
Re (0.5131, 0.3886, 0.0913)
Re (0.6434, 0.8764, 0.4301)
O (0.0674, 0.1171, 0.7128)
O (0.1100, 0.2461, 0.4624)
O (0.1425, 0.8108, 0.9372)
O (0.1835, 0.5035, 0.1916)
O (0.3054, 0.4174, 0.5864)
O (0.3541, 0.4789, 0.8169)
O (0.3760, 0.8218, 0.5812)
O (0.3915, 0.1693, 0.0734)
O (0.4119, 0.9348, 0.3150)
O (0.5881, 0.0652, 0.6850)
O (0.6085, 0.8307, 0.9266)
O (0.6240, 0.1782, 0.4188)
O (0.6459, 0.5211, 0.1831)
O (0.6946, 0.5826, 0.4136)
O (0.8165, 0.4965, 0.8084)
O (0.8575, 0.1892, 0.0628)
O (0.8900, 0.7539, 0.5376)
O (0.9326, 0.8829, 0.2872)

# 3
Structure and calculated powder XRD pattern of La2Re3O10 (a DFT-relaxed cell (GGA-PBE, Alexandria); a wavelength of 1.5418 Å).

Most intense lines, 2θ from 5° to 70°, by angle:
| 2θ (°) | I/Imax |
| --- | --- |
| 25.3 | 28 |
| 28.5 | 100 |
| 28.8 | 48 |
| 29.6 | 61 |
| 31.1 | 23 |
| 33.8 | 21 |
| 37.3 | 22 |
| 43.4 | 23 |
| 52.2 | 18 |
| 53.7 | 24 |
| 54.2 | 16 |
| 54.7 | 23 |

Unit cell a=9.5098 b=9.5098 c=7.6098 alpha=111.28 beta=111.28 gamma=35.20
Element x y z (fractional)
La (0.1140, 0.1140, 0.2072)
La (0.2061, 0.2061, 0.8424)
La (0.7939, 0.7939, 0.1576)
La (0.8860, 0.8860, 0.7928)
Re (0.2138, 0.7862, 0.5000)
Re (0.3177, 0.3177, 0.4770)
Re (0.4320, 0.4320, 0.0203)
Re (0.5680, 0.5680, 0.9797)
Re (0.6823, 0.6823, 0.5230)
Re (0.7862, 0.2138, 0.5000)
O (0.0000, 0.5000, 0.5000)
O (0.0207, 0.0207, 0.7176)
O (0.1131, 0.5890, 0.0129)
O (0.1222, 0.6498, 0.4602)
O (0.2299, 0.7701, 0.0000)
O (0.2640, 0.2640, 0.2120)
O (0.3502, 0.8778, 0.5398)
O (0.3785, 0.3785, 0.7487)
O (0.4110, 0.8869, 0.9871)
O (0.4790, 0.4790, 0.3112)
O (0.5000, 0.0000, 0.5000)
O (0.5210, 0.5210, 0.6888)
O (0.5890, 0.1131, 0.0129)
O (0.6215, 0.6215, 0.2513)
O (0.6498, 0.1222, 0.4602)
O (0.7360, 0.7360, 0.7880)
O (0.7701, 0.2299, 0.0000)
O (0.8778, 0.3502, 0.5398)
O (0.8869, 0.4110, 0.9871)
O (0.9793, 0.9793, 0.2824)